No. 1
Diffraction record for NdSmCo4O12. The X-ray diffraction stick pattern is calculated, not measured: it uses a cell relaxed with PBE+U and copper Kα.
Intensities are scaled so that the largest is 100.

The 12 most intense peaks (2θ from 10° to 90°), sorted by position:
2θ 20.58, intensity 100; 2θ 33.88, intensity 75; 2θ 34.00, intensity 37; 2θ 39.87, intensity 18; 2θ 40.07, intensity 36; 2θ 48.50, intensity 15; 2θ 48.84, intensity 30; 2θ 53.38, intensity 16; 2θ 60.55, intensity 14; 2θ 60.77, intensity 28; 2θ 71.29, intensity 17; 2θ 81.61, intensity 12

Atomic structure:
```
data_NdSmCo4O12
_symmetry_space_group_name_H-M 'P 1'
_symmetry_Int_Tables_number 1
_symmetry_space_group_name_Hall 'P 1'
_cell_length_a 5.2742
_cell_length_b 5.2742
_cell_length_c 7.5075
_cell_angle_alpha 90.00
_cell_angle_beta 90.00
_cell_angle_gamma 90.00
loop_
_atom_site_label
_atom_site_fract_x
_atom_site_fract_y
_atom_site_fract_z
Nd1 0.0000 0.0000 0.0000
Sm1 0.5000 0.5000 0.5000
Co1 0.0000 0.5000 0.2504
Co2 0.0000 0.5000 0.7496
Co3 0.5000 0.0000 0.2504
Co4 0.5000 0.0000 0.7496
O1 0.0000 0.5000 0.0000
O2 0.0000 0.5000 0.5000
O3 0.2510 0.2510 0.2519
O4 0.2510 0.2510 0.7481
O5 0.2510 0.7490 0.2519
O6 0.2510 0.7490 0.7481
O7 0.5000 0.0000 0.0000
O8 0.5000 0.0000 0.5000
O9 0.7490 0.2510 0.2519
O10 0.7490 0.2510 0.7481
O11 0.7490 0.7490 0.2519
O12 0.7490 0.7490 0.7481
```

---

No. 2
Diffraction record for Sr3NdCo2O8. The X-ray diffraction stick pattern is calculated, not measured: it uses a cell relaxed with PBE+U and copper Kα.
Intensities are scaled so that the largest is 100.

The 12 most intense peaks (2θ from 10° to 90°), sorted by position:
2θ 14.32, intensity 11; 2θ 24.29, intensity 12; 2θ 28.88, intensity 9; 2θ 31.86, intensity 100; 2θ 33.02, intensity 74; 2θ 43.53, intensity 17; 2θ 43.92, intensity 13; 2θ 44.42, intensity 28; 2θ 47.39, intensity 39; 2θ 56.03, intensity 14; 2θ 58.24, intensity 37; 2θ 66.59, intensity 13

Atomic structure:
```
data_Sr3NdCo2O8
_symmetry_space_group_name_H-M 'P 1'
_symmetry_Int_Tables_number 1
_symmetry_space_group_name_Hall 'P 1'
_cell_length_a 5.4317
_cell_length_b 6.7517
_cell_length_c 6.7517
_cell_angle_alpha 47.33
_cell_angle_beta 90.00
_cell_angle_gamma 90.00
loop_
_atom_site_label
_atom_site_fract_x
_atom_site_fract_y
_atom_site_fract_z
Sr1 0.0000 0.0000 0.0000
Sr2 0.0000 0.2836 0.2836
Sr3 0.5000 0.7873 0.7873
Nd1 0.5000 0.5063 0.5063
Co1 0.0000 0.6447 0.6447
Co2 0.5000 0.1455 0.1455
O1 0.0000 0.4840 0.4840
O2 0.0000 0.7990 0.7990
O3 0.2557 0.3951 0.8823
O4 0.2557 0.8823 0.3951
O5 0.5000 0.3127 0.3127
O6 0.5000 0.9859 0.9859
O7 0.7443 0.3951 0.8823
O8 0.7443 0.8823 0.3951
```

---

No. 3
Diffraction record for SrNdCo2O6. The X-ray diffraction stick pattern is calculated, not measured: it uses a cell relaxed with PBE+U and copper Kα.
Intensities are scaled so that the largest is 100.

The 12 most intense peaks (2θ from 10° to 90°), sorted by position:
2θ 32.38, intensity 20; 2θ 33.02, intensity 100; 2θ 40.35, intensity 8; 2θ 40.86, intensity 8; 2θ 46.91, intensity 27; 2θ 47.89, intensity 12; 2θ 58.17, intensity 17; 2θ 58.97, intensity 23; 2θ 59.39, intensity 8; 2θ 69.27, intensity 18; 2θ 78.19, intensity 7; 2θ 79.66, intensity 6

Atomic structure:
```
data_SrNdCo2O6
_symmetry_space_group_name_H-M 'P 1'
_symmetry_Int_Tables_number 1
_symmetry_space_group_name_Hall 'P 1'
_cell_length_a 5.4260
_cell_length_b 5.4260
_cell_length_c 5.4260
_cell_angle_alpha 119.97
_cell_angle_beta 91.12
_cell_angle_gamma 118.74
loop_
_atom_site_label
_atom_site_fract_x
_atom_site_fract_y
_atom_site_fract_z
Sr1 0.0000 0.0000 0.0000
Nd1 0.4891 0.9891 0.5000
Co1 0.2485 0.4983 0.7502
Co2 0.7481 0.4983 0.2498
O1 0.0424 0.9998 0.5269
O2 0.0424 0.5155 0.0426
O3 0.4729 0.9998 0.9574
O4 0.4729 0.5155 0.4731
O5 0.5511 0.5511 0.0000
O6 0.9262 0.4262 0.5000
```